# 1
Ce2Nd2Y7: simulated powder diffraction line list (Cu Kα, 1.54184 Å), based on a structure optimized by DFT (PBE).

Top 10 peaks for 2θ = 5–70°, low angle first:
Position (°2θ)	d/Å	I/Imax
25.7	3.466	24
30.6	2.921	48
30.7	2.910	31
31.7	2.827	100
32.0	2.797	27
33.7	2.657	67
44.9	2.020	15
49.4	1.845	16
55.1	1.668	13
57.0	1.615	12

Cell and atoms:
```
Ce2Nd2Y7
1.0
5.6145 -5.8419 0.0000
5.6145 5.8419 0.0000
-2.3317 0.0000 5.5883
Ce Nd Y
2 2 7
Cartesian
5.6145 3.3536 0.0000
5.6145 -3.3536 0.0000
2.3565 0.0000 0.5032
6.5409 0.0000 5.0851
-1.1658 0.0000 2.7942
2.9289 3.0542 1.8226
2.9657 0.0000 3.8914
5.9686 3.0542 3.7657
2.9289 -3.0542 1.8226
5.9318 0.0000 1.6970
5.9686 -3.0542 3.7657
```



# 2
NpBCl: simulated powder diffraction line list (Cu Kα, 1.54184 Å), based on a structure optimized by DFT (PBE).

Top 10 peaks for 2θ = 5–70°, low angle first:
Position (°2θ)	d/Å	I/Imax
8.0	11.067	100
16.0	5.534	12
24.1	3.689	17
29.5	3.029	63
33.7	2.657	33
38.3	2.349	25
45.8	1.981	14
45.9	1.977	21
51.0	1.791	11
63.9	1.456	15

Cell and atoms:
```
NpBCl
1.0
-1.6610 1.6610 11.0672
1.6610 -1.6610 11.0672
1.6610 1.6610 -11.0672
Np B Cl
2 2 2
Cartesian
0.0000 0.0000 3.8647
0.0000 0.0000 18.2697
0.0000 0.0000 6.2338
0.0000 0.0000 15.9006
0.0000 0.0000 9.0693
0.0000 0.0000 13.0651
```



# 3
Cd4SnPd15: simulated powder diffraction line list (Cu Kα, 1.54184 Å), based on a structure optimized by DFT (PBE).

Top 5 peaks for 2θ = 5–70°, low angle first:
Position (°2θ)	d/Å	I/Imax
38.7	2.328	100
44.7	2.028	33
45.5	1.994	16
65.1	1.434	10
65.7	1.422	20

Cell and atoms:
```
Cd4SnPd15
1.0
4.0554 0.0000 0.0000
0.0000 4.0554 0.0000
0.0000 0.0000 19.9410
Cd Sn Pd
4 1 15
Cartesian
0.0000 0.0000 1.9965
0.0000 0.0000 5.9801
0.0000 0.0000 13.9610
0.0000 0.0000 17.9445
0.0000 0.0000 9.9705
0.0000 2.0277 0.0000
0.0000 2.0277 3.9824
0.0000 2.0277 8.0037
0.0000 2.0277 11.9373
0.0000 2.0277 15.9586
2.0277 0.0000 0.0000
2.0277 0.0000 3.9824
2.0277 0.0000 8.0037
2.0277 0.0000 11.9373
2.0277 0.0000 15.9586
2.0277 2.0277 1.9828
2.0277 2.0277 5.9891
2.0277 2.0277 9.9705
2.0277 2.0277 13.9520
2.0277 2.0277 17.9583
```



# 4
Pm4SnPb3: simulated powder diffraction line list (Cu Kα, 1.54184 Å), based on a structure optimized by DFT (PBE).

Top 10 peaks for 2θ = 5–70°, low angle first:
Position (°2θ)	d/Å	I/Imax
28.7	3.110	100
30.1	2.965	39
36.0	2.498	87
36.3	2.473	14
38.9	2.317	27
40.2	2.243	25
50.0	1.825	19
51.1	1.789	18
57.2	1.612	18
66.0	1.416	17

Cell and atoms:
```
Pm4SnPb3
1.0
4.4864 0.0000 0.0000
0.0000 4.6333 0.0000
0.0000 0.0000 11.8588
Pm Sn Pb
4 1 3
Cartesian
0.0000 0.0000 0.0000
0.0000 2.3167 5.8647
2.2432 0.0000 8.6764
2.2432 2.3167 2.7458
0.0000 0.0000 3.2047
0.0000 2.3167 9.0936
2.2432 0.0000 5.4406
2.2432 2.3167 11.3911
```



# 5
Ag2O3: simulated powder diffraction line list (Cu Kα, 1.54184 Å), based on a structure optimized by DFT (PBE).

Top 10 peaks for 2θ = 5–70°, low angle first:
Position (°2θ)	d/Å	I/Imax
25.6	3.482	87
32.2	2.783	100
33.6	2.669	25
35.1	2.559	50
40.3	2.238	41
42.7	2.116	24
53.4	1.715	20
59.2	1.562	22
61.1	1.516	20
67.4	1.390	20

Cell and atoms:
```
Ag2O3
1.0
0.0000 6.5270 1.9194
5.3380 0.0000 1.9194
5.3380 6.5270 0.0000
Ag O
4 6
Cartesian
6.5844 2.6522 1.9194
6.7606 5.9157 2.8791
4.0916 10.4017 1.9194
3.9154 7.1382 2.8791
8.1761 5.4507 1.4178
5.3380 6.5270 0.3038
2.6690 3.2635 1.2635
5.5071 4.3398 2.3775
2.4999 7.6033 1.4178
5.1689 8.7142 2.3775
```



# 6
Li4AgPb2: simulated powder diffraction line list (Cu Kα, 1.54184 Å), based on a structure optimized by DFT (PBE).

Top 10 peaks for 2θ = 5–70°, low angle first:
Position (°2θ)	d/Å	I/Imax
20.6	4.308	49
20.9	4.249	64
23.7	3.748	47
25.0	3.558	66
25.3	3.524	62
28.3	3.155	100
37.0	2.428	84
37.3	2.408	53
37.5	2.396	73
47.5	1.914	47

Cell and atoms:
```
Li4AgPb2
1.0
5.2080 0.0000 0.0000
0.0000 6.3106 0.0000
-0.9003 0.0000 8.6155
Li Ag Pb
8 2 4
Cartesian
0.5270 1.5777 1.0305
1.4029 4.7330 3.5746
1.2358 3.4175 6.1535
1.2358 6.0485 6.1535
3.0719 0.2622 2.4619
3.0719 2.8932 2.4619
2.9048 1.5777 5.0408
3.7807 4.7330 7.5850
-0.4986 1.5777 6.9137
4.8064 4.7330 1.7018
0.2686 1.5777 3.8719
2.1022 4.7330 0.2728
2.2055 1.5777 8.3427
4.0391 4.7330 4.7435
```



# 7
CuAg2PO4: simulated powder diffraction line list (Cu Kα, 1.54184 Å), based on a structure optimized by DFT (PBE).

Top 10 peaks for 2θ = 5–70°, low angle first:
Position (°2θ)	d/Å	I/Imax
19.9	4.471	21
20.0	4.429	14
30.2	2.958	44
33.8	2.651	100
35.9	2.504	17
36.3	2.475	18
37.5	2.400	13
42.2	2.140	13
43.6	2.078	13
54.3	1.690	12

Cell and atoms:
```
CuAg2PO4
1.0
4.9857 0.0000 0.0000
0.4707 5.0214 0.0000
2.3817 2.1873 4.2800
Cu Ag P O
1 2 1 4
Cartesian
0.0000 0.0000 0.0000
5.5066 4.0781 4.1585
5.4354 1.9808 1.9339
2.9571 4.2201 2.0576
2.2175 5.2718 2.9245
2.0060 3.6289 0.9709
3.4929 3.0387 2.9811
4.2274 4.8409 1.4271
```



# 8
La12PrHo3: simulated powder diffraction line list (Cu Kα, 1.54184 Å), based on a structure optimized by DFT (PBE).

Top 5 peaks for 2θ = 5–70°, low angle first:
Position (°2θ)	d/Å	I/Imax
29.7	3.011	100
34.4	2.608	51
49.4	1.844	36
58.7	1.573	43
61.6	1.506	12

Cell and atoms:
```
La12PrHo3
1.0
5.2151 0.0000 0.0000
0.0000 5.2151 0.0000
0.0000 0.0000 20.8700
La Pr Ho
12 1 3
Cartesian
0.0000 0.0000 0.0000
0.0000 0.0000 5.1843
0.0000 0.0000 10.4350
0.0000 0.0000 15.6857
0.0000 2.6076 2.5906
0.0000 2.6076 7.7861
0.0000 2.6076 13.0839
0.0000 2.6076 18.2793
2.6076 0.0000 2.5906
2.6076 0.0000 7.7861
2.6076 0.0000 13.0839
2.6076 0.0000 18.2793
2.6076 2.6076 10.4350
2.6076 2.6076 0.0000
2.6076 2.6076 5.1867
2.6076 2.6076 15.6833
```



# 9
Sm4CdCu3: simulated powder diffraction line list (Cu Kα, 1.54184 Å), based on a structure optimized by DFT (PBE).

Top 10 peaks for 2θ = 5–70°, low angle first:
Position (°2θ)	d/Å	I/Imax
24.6	3.621	16
34.8	2.579	26
35.1	2.559	100
35.2	2.548	24
43.1	2.099	3
50.3	1.813	17
50.5	1.807	9
62.5	1.485	18
62.8	1.480	9
63.1	1.473	24

Cell and atoms:
```
Sm4CdCu3
1.0
3.6132 0.0000 0.0000
0.0000 5.1587 0.0000
0.0000 0.0000 10.1918
Sm Cd Cu
4 1 3
Cartesian
0.0000 0.0000 0.0000
0.0000 0.0000 5.0959
0.0000 2.5793 2.3951
0.0000 2.5793 7.7966
1.8066 2.5793 5.0959
1.8066 0.0000 2.5813
1.8066 0.0000 7.6105
1.8066 2.5793 0.0000
```



# 10
Ba2Sr3Hg4: simulated powder diffraction line list (Cu Kα, 1.54184 Å), based on a structure optimized by DFT (PBE).

Top 10 peaks for 2θ = 5–70°, low angle first:
Position (°2θ)	d/Å	I/Imax
19.9	4.460	44
25.9	3.436	49
26.3	3.383	39
27.9	3.201	100
28.5	3.136	33
28.8	3.098	84
30.9	2.898	32
31.0	2.889	37
31.8	2.817	62
32.0	2.795	89

Cell and atoms:
```
Ba2Sr3Hg4
1.0
9.2681 0.0000 0.0000
0.0000 8.9903 0.0000
-3.1299 0.0000 8.2542
Ba Sr Hg
4 6 8
Cartesian
1.5142 1.5718 0.4718
-0.0508 2.9233 4.5989
6.1890 6.0669 3.6554
4.6240 7.4184 7.7825
1.4938 5.9779 2.0350
-0.0711 7.5075 6.1621
3.0691 0.0000 4.1271
4.6341 4.4951 0.0000
6.2093 1.4828 2.0922
4.6444 3.0124 6.2193
-1.8925 4.8298 7.0970
-0.3276 8.6556 2.9699
1.8583 1.1824 7.1768
3.4233 3.3128 3.0497
2.7149 5.6775 5.2046
4.2799 7.8079 1.0774
6.4657 0.3347 5.2844
8.0307 4.1604 1.1573
```